Computed powder XRD pattern
Compound: Tl2CS3
Radiation: Cu Kα
Structure: a cell relaxed with GGA-PBE
Lines closer than 0.1° are merged.

Peak list (10 most intense, 2θ from 10° to 90°, sorted by position)
- d = 4.364 Å, rel. 33
- d = 4.212 Å, rel. 100
- d = 3.395 Å, rel. 22
- d = 3.279 Å, rel. 61
- d = 2.899 Å, rel. 28
- d = 2.831 Å, rel. 59
- d = 2.785 Å, rel. 20
- d = 2.682 Å, rel. 48
- d = 2.106 Å, rel. 19
- d = 1.625 Å, rel. 15

Structural model:
```
data_Tl2CS3
_symmetry_space_group_name_H-M 'C 1 2/c 1'
_symmetry_Int_Tables_number 15
_cell_length_a 11.2640
_cell_length_b 6.7902
_cell_length_c 9.5248
_cell_angle_alpha 90.00
_cell_angle_beta 117.21
_cell_angle_gamma 90.00
loop_
_symmetry_equiv_pos_as_xyz
'x,y,z'
'-x,-y,-z'
'-x,y,-z+1/2'
'x,-y,z+1/2'
'x+1/2,y+1/2,z'
'-x+1/2,-y+1/2,-z'
'-x+1/2,y+1/2,-z+1/2'
'x+1/2,-y+1/2,z+1/2'
loop_
_atom_site_label
_atom_site_fract_x
_atom_site_fract_y
_atom_site_fract_z
Tl1 0.1515 0.1987 0.1202
C1 0.0000 0.4397 0.7500
S1 0.0000 0.1858 0.7500
S2 0.1156 0.4318 0.4095
```

Computed powder XRD pattern
Compound: Tl2CS3
Radiation: Cu Kα
Structure: a cell relaxed with GGA-PBE
Lines closer than 0.1° are merged.

Peak list (10 most intense, 2θ from 10° to 90°, sorted by position)
- d = 4.426 Å, rel. 100
- d = 4.365 Å, rel. 49
- d = 4.119 Å, rel. 25
- d = 3.076 Å, rel. 58
- d = 2.996 Å, rel. 57
- d = 2.958 Å, rel. 57
- d = 2.532 Å, rel. 29
- d = 2.213 Å, rel. 30
- d = 2.180 Å, rel. 34
- d = 2.136 Å, rel. 30

Structural model:
```
data_Tl2CS3
_symmetry_space_group_name_H-M 'C 1 2/c 1'
_symmetry_Int_Tables_number 15
_cell_length_a 9.9134
_cell_length_b 8.7302
_cell_length_c 9.5173
_cell_angle_alpha 90.00
_cell_angle_beta 116.16
_cell_angle_gamma 90.00
loop_
_symmetry_equiv_pos_as_xyz
'x,y,z'
'-x,-y,-z'
'-x,y,-z+1/2'
'x,-y,z+1/2'
'x+1/2,y+1/2,z'
'-x+1/2,-y+1/2,-z'
'-x+1/2,y+1/2,-z+1/2'
'x+1/2,-y+1/2,z+1/2'
loop_
_atom_site_label
_atom_site_fract_x
_atom_site_fract_y
_atom_site_fract_z
Tl1 0.1406 0.2446 0.1237
C1 0.0000 0.0834 0.7500
S1 0.0000 0.2810 0.7500
S2 0.1391 0.0143 0.4015
```

Computed powder XRD pattern
Compound: Zr2CS
Radiation: Cu Kα
Structure: a cell relaxed with GGA-PBE
Lines closer than 0.1° are merged.

Peak list (10 most intense, 2θ from 10° to 90°, sorted by position)
- d = 3.064 Å, rel. 12
- d = 2.973 Å, rel. 27
- d = 2.889 Å, rel. 23
- d = 2.404 Å, rel. 100
- d = 2.134 Å, rel. 10
- d = 1.716 Å, rel. 27
- d = 1.684 Å, rel. 10
- d = 1.509 Å, rel. 11
- d = 1.397 Å, rel. 17
- d = 1.314 Å, rel. 12

Structural model:
```
data_Zr2CS
_symmetry_space_group_name_H-M 'P 63/m m c'
_symmetry_Int_Tables_number 194
_symmetry_space_group_name_Hall '-P 6c 2c'
_cell_length_a 3.4330
_cell_length_b 3.4330
_cell_length_c 12.2563
_cell_angle_alpha 90.00
_cell_angle_beta 90.00
_cell_angle_gamma 120.00
loop_
_atom_site_label
_atom_site_fract_x
_atom_site_fract_y
_atom_site_fract_z
Zr1 0.3333 0.6667 0.1007
C1 0.0000 0.0000 0.0000
S1 0.3333 0.6667 0.7500
```

Computed powder XRD pattern
Compound: Sc4C3
Radiation: Cu Kα
Structure: a cell relaxed with GGA-PBE
Lines closer than 0.1° are merged.

Peak list (10 most intense, 2θ from 10° to 90°, sorted by position)
- d = 2.950 Å, rel. 23
- d = 2.555 Å, rel. 84
- d = 2.285 Å, rel. 100
- d = 1.931 Å, rel. 39
- d = 1.541 Å, rel. 18
- d = 1.475 Å, rel. 12
- d = 1.417 Å, rel. 41
- d = 1.319 Å, rel. 19
- d = 1.172 Å, rel. 11
- d = 1.115 Å, rel. 11

Structural model:
```
data_Sc4C3
_symmetry_space_group_name_H-M 'I -4 3 d'
_symmetry_Int_Tables_number 220
_symmetry_space_group_name_Hall 'I -4bd 2c 3'
_cell_length_a 7.2264
_cell_length_b 7.2264
_cell_length_c 7.2264
_cell_angle_alpha 90.00
_cell_angle_beta 90.00
_cell_angle_gamma 90.00
loop_
_atom_site_label
_atom_site_fract_x
_atom_site_fract_y
_atom_site_fract_z
Sc1 0.0493 0.0493 0.0493
C1 0.0000 0.2500 0.3750
```

Computed powder XRD pattern
Compound: Sc2C
Radiation: Cu Kα
Structure: a cell relaxed with GGA-PBE
Lines closer than 0.1° are merged.

Peak list (10 most intense, 2θ from 10° to 90°, sorted by position)
- d = 5.668 Å, rel. 22
- d = 2.880 Å, rel. 14
- d = 2.834 Å, rel. 20
- d = 2.567 Å, rel. 100
- d = 2.020 Å, rel. 28
- d = 1.663 Å, rel. 20
- d = 1.580 Å, rel. 18
- d = 1.434 Å, rel. 13
- d = 1.396 Å, rel. 12
- d = 1.271 Å, rel. 6

Structural model:
```
data_Sc2C
_symmetry_space_group_name_H-M 'P -3 m 1'
_symmetry_Int_Tables_number 164
_symmetry_space_group_name_Hall '-P 3 2"'
_cell_length_a 3.3251
_cell_length_b 3.3251
_cell_length_c 5.6683
_cell_angle_alpha 90.00
_cell_angle_beta 90.00
_cell_angle_gamma 120.00
loop_
_atom_site_label
_atom_site_fract_x
_atom_site_fract_y
_atom_site_fract_z
Sc1 0.3333 0.6667 0.2176
C1 0.0000 0.0000 0.0000
```

Computed powder XRD pattern
Compound: Sc3TlC
Radiation: Cu Kα
Structure: a cell relaxed with GGA-PBE
Lines closer than 0.1° are merged.

Peak list (10 most intense, 2θ from 10° to 90°, sorted by position)
- d = 4.558 Å, rel. 55
- d = 3.223 Å, rel. 67
- d = 2.632 Å, rel. 100
- d = 2.279 Å, rel. 56
- d = 2.038 Å, rel. 30
- d = 1.861 Å, rel. 29
- d = 1.611 Å, rel. 37
- d = 1.519 Å, rel. 16
- d = 1.374 Å, rel. 38
- d = 1.218 Å, rel. 15

Structural model:
```
data_Sc3TlC
_symmetry_space_group_name_H-M 'P m -3 m'
_symmetry_Int_Tables_number 221
_symmetry_space_group_name_Hall '-P 4 2 3'
_cell_length_a 4.5580
_cell_length_b 4.5580
_cell_length_c 4.5580
_cell_angle_alpha 90.00
_cell_angle_beta 90.00
_cell_angle_gamma 90.00
loop_
_atom_site_label
_atom_site_fract_x
_atom_site_fract_y
_atom_site_fract_z
Sc1 0.0000 0.0000 0.5000
Tl1 0.5000 0.5000 0.5000
C1 0.0000 0.0000 0.0000
```

Computed powder XRD pattern
Compound: Si8C3
Radiation: Cu Kα
Structure: a cell relaxed with GGA-PBE
Lines closer than 0.1° are merged.

Peak list (10 most intense, 2θ from 10° to 90°, sorted by position)
- d = 4.095 Å, rel. 45
- d = 3.338 Å, rel. 47
- d = 3.061 Å, rel. 35
- d = 2.699 Å, rel. 40
- d = 2.670 Å, rel. 53
- d = 2.603 Å, rel. 80
- d = 2.419 Å, rel. 100
- d = 2.328 Å, rel. 36
- d = 2.124 Å, rel. 39
- d = 1.984 Å, rel. 29

Structural model:
```
data_Si8C3
_symmetry_space_group_name_H-M 'P -1'
_symmetry_Int_Tables_number 2
_cell_length_a 4.9425
_cell_length_b 12.2021
_cell_length_c 12.2996
_cell_angle_alpha 60.96
_cell_angle_beta 79.62
_cell_angle_gamma 89.59
loop_
_symmetry_equiv_pos_as_xyz
'x,y,z'
'-x,-y,-z'
loop_
_atom_site_label
_atom_site_fract_x
_atom_site_fract_y
_atom_site_fract_z
Si1 0.0012 0.3960 0.0900
Si2 0.0324 0.4001 0.8243
Si3 0.0755 0.7794 0.4531
Si4 0.1355 0.9975 0.1369
Si5 0.1429 0.9422 0.5913
Si6 0.2115 0.1953 0.9264
Si7 0.2195 0.3873 0.5413
Si8 0.2603 0.1690 0.2645
Si9 0.2759 0.6119 0.6066
Si10 0.2882 0.9015 0.9198
Si11 0.3158 0.4084 0.2401
Si12 0.3193 0.6892 0.9698
Si13 0.3437 0.2096 0.4284
Si14 0.3488 0.7846 0.2048
Si15 0.3614 0.5618 0.3259
Si16 0.4919 0.9786 0.3354
C1 0.0746 0.5758 0.7700
C2 0.1225 0.8721 0.0870
C3 0.2558 0.4372 0.6593
C4 0.2738 0.8858 0.2853
C5 0.3416 0.8614 0.5117
C6 0.3539 0.3375 0.1205
```